1.
Diffraction record for ErLuNi2. The powder X-ray diffraction pattern is computed, not measured: it uses a crystal structure in OQMD, relaxed with PBE and Cu Kα (weighted mean of Kα1 and Kα2).
Intensities are scaled so that the largest is 100.

```
ErLuNi2
1.0
4.099 0.000 0.000
0.000 5.353 0.000
0.000 0.000 6.922
Er Lu Ni
2 2 4
Direct
0.000 0.119 0.000
0.000 0.881 0.500
0.500 0.383 0.640
0.500 0.617 0.140
0.000 0.379 0.358
0.000 0.621 0.858
0.500 0.124 0.284
0.500 0.876 0.784
```

Most intense lines, 2θ from 10° to 90°, in order of rising 2θ:
27.41°, I = 40.4
30.35°, I = 89.3
33.90°, I = 100.0
35.97°, I = 93.3
37.95°, I = 84.3
42.39°, I = 76.7
42.67°, I = 43.8
44.20°, I = 51.2
57.89°, I = 32.4
58.24°, I = 49.5

---

2.
Diffraction record for Pr2Nd2CBr2F3. The powder X-ray diffraction pattern is computed, not measured: it uses a crystal structure in OQMD, relaxed with PBE and Cu Kα (weighted mean of Kα1 and Kα2).
Intensities are scaled so that the largest is 100.

```
Pr2Nd2CBr2F3
1.0
8.032 -1.864 0.000
8.032 1.864 0.000
-1.601 0.000 6.915
Pr Nd C Br F
2 2 1 2 3
Direct
0.160 0.160 0.144
0.840 0.840 0.856
0.475 0.475 0.229
0.525 0.525 0.771
0.000 0.000 0.000
0.345 0.345 0.533
0.655 0.655 0.467
0.000 0.000 0.500
0.316 0.316 0.076
0.684 0.684 0.924
```

Most intense lines, 2θ from 10° to 90°, in order of rising 2θ:
23.46°, I = 45.2
27.17°, I = 73.6
29.45°, I = 46.3
30.40°, I = 44.6
30.55°, I = 55.8
33.80°, I = 92.1
34.38°, I = 69.9
34.91°, I = 80.4
36.77°, I = 100.0
46.65°, I = 60.4

---

3.
Diffraction record for Pr3Si4Pt. The powder X-ray diffraction pattern is computed, not measured: it uses a crystal structure in OQMD, relaxed with PBE and Cu Kα (weighted mean of Kα1 and Kα2).
Intensities are scaled so that the largest is 100.

```
Pr3Si4Pt
1.0
5.913 0.000 0.000
0.000 3.913 0.000
-1.313 0.000 7.730
Pr Si Pt
3 4 1
Direct
0.000 0.000 0.000
0.164 0.000 0.471
0.483 0.500 0.858
0.308 0.500 0.208
0.562 0.000 0.195
0.690 0.000 0.634
0.963 0.500 0.704
0.649 0.500 0.432
```

Most intense lines, 2θ from 10° to 90°, in order of rising 2θ:
23.01°, I = 54.5
27.45°, I = 100.0
28.80°, I = 30.9
30.89°, I = 74.2
32.56°, I = 31.5
34.36°, I = 78.2
34.66°, I = 35.6
37.80°, I = 46.9
46.41°, I = 30.3
47.00°, I = 30.7

---

4.
Diffraction record for NdP3H6O12. The powder X-ray diffraction pattern is computed, not measured: it uses a crystal structure in OQMD, relaxed with PBE and Cu Kα (weighted mean of Kα1 and Kα2).
Intensities are scaled so that the largest is 100.

```
NdP3H6O12
1.0
6.478 0.000 0.000
-3.239 5.610 0.000
0.000 0.000 6.119
Nd P H O
1 3 6 12
Direct
0.000 0.000 0.000
0.381 0.286 0.500
0.714 0.095 0.500
0.905 0.619 0.500
0.037 0.498 0.126
0.037 0.498 0.874
0.461 0.963 0.126
0.461 0.963 0.874
0.502 0.539 0.126
0.502 0.539 0.874
0.013 0.740 0.288
0.013 0.740 0.712
0.021 0.398 0.000
0.260 0.273 0.288
0.260 0.273 0.712
0.377 0.979 0.000
0.465 0.092 0.500
0.602 0.623 0.000
0.627 0.535 0.500
0.727 0.987 0.288
0.727 0.987 0.712
0.908 0.373 0.500
```

Most intense lines, 2θ from 10° to 90°, in order of rising 2θ:
15.80°, I = 90.6
21.49°, I = 100.0
29.19°, I = 20.7
31.24°, I = 64.8
31.90°, I = 18.6
35.19°, I = 38.5
42.64°, I = 20.1
43.78°, I = 27.2
45.26°, I = 20.7
52.51°, I = 27.9

---

5.
Diffraction record for K2Pa2O5. The powder X-ray diffraction pattern is computed, not measured: it uses a crystal structure in OQMD, relaxed with PBE and Cu Kα (weighted mean of Kα1 and Kα2).
Intensities are scaled so that the largest is 100.

```
K2Pa2O5
1.0
4.409 0.000 0.000
0.000 4.409 0.000
0.000 0.000 8.779
K Pa O
2 2 5
Direct
0.000 0.000 0.000
0.000 0.000 0.500
0.500 0.500 0.249
0.500 0.500 0.751
0.000 0.500 0.208
0.000 0.500 0.792
0.500 0.000 0.208
0.500 0.000 0.792
0.500 0.500 0.500
```

Most intense lines, 2θ from 10° to 90°, in order of rising 2θ:
20.17°, I = 70.1
28.68°, I = 100.0
35.31°, I = 13.4
40.94°, I = 19.0
46.05°, I = 23.7
46.20°, I = 11.1
50.76°, I = 29.2
50.88°, I = 14.6
67.15°, I = 12.2
81.80°, I = 15.1

---

6.
Diffraction record for KIn6Ga3Co2. The powder X-ray diffraction pattern is computed, not measured: it uses a crystal structure in OQMD, relaxed with PBE and Cu Kα (weighted mean of Kα1 and Kα2).
Intensities are scaled so that the largest is 100.

```
KIn6Ga3Co2
1.0
8.458 0.000 0.000
-4.229 7.325 0.000
0.000 0.000 4.186
K In Ga Co
1 6 3 2
Direct
0.000 0.000 0.000
0.207 0.414 0.500
0.207 0.793 0.500
0.414 0.207 0.500
0.586 0.793 0.500
0.793 0.207 0.500
0.793 0.586 0.500
0.000 0.500 0.000
0.500 0.000 0.000
0.500 0.500 0.000
0.333 0.667 0.000
0.667 0.333 0.000
```

Most intense lines, 2θ from 10° to 90°, in order of rising 2θ:
12.08°, I = 50.7
30.04°, I = 16.1
32.34°, I = 31.8
32.48°, I = 80.6
39.01°, I = 100.0
42.76°, I = 31.7
42.88°, I = 26.7
43.23°, I = 29.5
62.43°, I = 19.5
67.77°, I = 22.2

---

7.
Diffraction record for Hf3Cd3AgF20. The powder X-ray diffraction pattern is computed, not measured: it uses a crystal structure in OQMD, relaxed with PBE and Cu Kα (weighted mean of Kα1 and Kα2).
Intensities are scaled so that the largest is 100.

```
Hf3Cd3AgF20
1.0
10.395 0.000 0.000
-5.197 9.002 0.000
0.000 0.000 8.252
Hf Cd Ag F
6 6 2 40
Direct
0.136 0.415 0.250
0.279 0.864 0.250
0.415 0.279 0.750
0.585 0.721 0.250
0.721 0.136 0.750
0.864 0.585 0.750
0.162 0.433 0.750
0.271 0.838 0.750
0.433 0.271 0.250
0.567 0.729 0.750
0.729 0.162 0.250
0.838 0.567 0.250
0.000 0.000 0.250
0.000 0.000 0.750
0.000 0.000 0.000
0.000 0.000 0.500
0.037 0.801 0.750
0.056 0.780 0.250
0.061 0.586 0.750
0.140 0.426 0.012
0.140 0.426 0.488
0.183 0.635 0.250
0.199 0.236 0.750
0.220 0.277 0.250
0.236 0.037 0.250
0.277 0.056 0.750
0.286 0.860 0.012
0.286 0.860 0.488
0.333 0.667 0.750
0.365 0.548 0.250
0.414 0.475 0.750
0.426 0.286 0.512
0.426 0.286 0.988
0.452 0.817 0.250
0.475 0.061 0.250
0.525 0.939 0.750
0.548 0.183 0.750
0.574 0.714 0.012
0.574 0.714 0.488
0.586 0.525 0.250
0.635 0.452 0.750
0.667 0.333 0.250
0.714 0.140 0.512
0.714 0.140 0.988
0.723 0.944 0.250
0.764 0.963 0.750
0.780 0.723 0.750
0.801 0.764 0.250
0.817 0.365 0.750
0.860 0.574 0.512
0.860 0.574 0.988
0.939 0.414 0.250
0.944 0.220 0.750
0.963 0.199 0.250
```

Most intense lines, 2θ from 10° to 90°, in order of rising 2θ:
21.54°, I = 67.5
26.19°, I = 100.0
34.16°, I = 52.1
43.88°, I = 15.9
46.21°, I = 32.3
51.53°, I = 29.4
51.83°, I = 29.8
53.89°, I = 14.3
58.70°, I = 13.5
65.63°, I = 20.8

---

8.
Diffraction record for Ho2Tm2B3N4. The powder X-ray diffraction pattern is computed, not measured: it uses a crystal structure in OQMD, relaxed with PBE and Cu Kα (weighted mean of Kα1 and Kα2).
Intensities are scaled so that the largest is 100.

```
Ho2Tm2B3N4
1.0
3.329 0.000 0.000
0.000 3.462 0.000
-1.657 -0.016 11.475
Ho Tm B N
2 2 3 4
Direct
0.179 0.000 0.357
0.821 0.000 0.643
0.428 0.500 0.857
0.572 0.500 0.143
0.000 0.000 0.000
0.268 0.500 0.536
0.732 0.500 0.464
0.065 0.000 0.129
0.333 0.500 0.667
0.667 0.500 0.333
0.935 0.000 0.871
```

Most intense lines, 2θ from 10° to 90°, in order of rising 2θ:
26.90°, I = 61.5
29.25°, I = 46.6
31.18°, I = 65.9
33.24°, I = 55.3
34.96°, I = 82.3
37.69°, I = 100.0
46.92°, I = 27.1
52.35°, I = 38.9
62.68°, I = 27.0
67.01°, I = 25.9

---

9.
Diffraction record for La3PrN2F2. The powder X-ray diffraction pattern is computed, not measured: it uses a crystal structure in OQMD, relaxed with PBE and Cu Kα (weighted mean of Kα1 and Kα2).
Intensities are scaled so that the largest is 100.

```
La3PrN2F2
1.0
3.593 0.000 0.000
-1.796 3.111 0.000
0.000 0.000 12.861
La Pr N F
3 1 2 2
Direct
0.000 0.000 0.000
0.000 0.000 0.285
0.667 0.333 0.502
0.667 0.333 0.785
0.333 0.667 0.394
0.333 0.667 0.891
0.000 0.000 0.647
0.667 0.333 0.142
```

Most intense lines, 2θ from 10° to 90°, in order of rising 2θ:
27.75°, I = 28.7
28.69°, I = 30.1
29.54°, I = 54.8
35.66°, I = 100.0
40.34°, I = 22.4
50.83°, I = 31.9
58.33°, I = 22.8
58.89°, I = 22.2
63.63°, I = 17.9
85.66°, I = 15.6

---

10.
Diffraction record for Pm4NiBr5. The powder X-ray diffraction pattern is computed, not measured: it uses a crystal structure in OQMD, relaxed with PBE and Cu Kα (weighted mean of Kα1 and Kα2).
Intensities are scaled so that the largest is 100.

```
Pm4NiBr5
1.0
9.395 -2.011 0.000
9.395 2.011 0.000
-2.022 0.000 8.397
Pm Ni Br
4 1 5
Direct
0.000 0.000 0.216
0.000 0.000 0.784
0.350 0.350 0.916
0.650 0.650 0.084
0.500 0.500 0.000
0.167 0.167 0.343
0.174 0.174 0.838
0.500 0.500 0.500
0.826 0.826 0.162
0.833 0.833 0.657
```

Most intense lines, 2θ from 10° to 90°, in order of rising 2θ:
10.53°, I = 47.4
27.32°, I = 11.0
29.33°, I = 51.4
29.92°, I = 12.0
30.37°, I = 100.0
41.84°, I = 17.4
42.66°, I = 33.1
42.80°, I = 35.5
45.09°, I = 17.6
54.70°, I = 17.5

---

11.
Diffraction record for ErLuScFeSi3. The powder X-ray diffraction pattern is computed, not measured: it uses a crystal structure in OQMD, relaxed with PBE and Cu Kα (weighted mean of Kα1 and Kα2).
Intensities are scaled so that the largest is 100.

```
ErLuScFeSi3
1.0
5.103 -2.031 0.000
5.103 2.031 0.000
-4.824 0.000 12.240
Er Lu Sc Fe Si
2 2 2 2 6
Direct
0.101 0.101 0.418
0.899 0.899 0.582
0.021 0.021 0.878
0.979 0.979 0.122
0.244 0.244 0.731
0.756 0.756 0.269
0.253 0.253 0.084
0.747 0.747 0.916
0.358 0.358 0.955
0.383 0.383 0.422
0.443 0.443 0.257
0.557 0.557 0.743
0.617 0.617 0.578
0.642 0.642 0.045
```

Most intense lines, 2θ from 10° to 90°, in order of rising 2θ:
18.69°, I = 23.6
23.82°, I = 93.8
28.32°, I = 40.9
34.52°, I = 43.7
34.65°, I = 42.9
34.82°, I = 57.4
35.14°, I = 100.0
39.43°, I = 54.0
42.89°, I = 35.3
44.61°, I = 43.0

---

12.
Diffraction record for DyTmFe8B2. The powder X-ray diffraction pattern is computed, not measured: it uses a crystal structure in OQMD, relaxed with PBE and Cu Kα (weighted mean of Kα1 and Kα2).
Intensities are scaled so that the largest is 100.

```
DyTmFe8B2
1.0
5.038 0.000 0.000
-2.519 4.363 0.000
0.000 0.000 7.022
Dy Tm Fe B
1 1 8 2
Direct
0.000 0.000 0.000
0.000 0.000 0.500
0.000 0.500 0.286
0.000 0.500 0.714
0.333 0.667 0.000
0.500 0.000 0.286
0.500 0.000 0.714
0.500 0.500 0.286
0.500 0.500 0.714
0.667 0.333 0.000
0.333 0.667 0.500
0.667 0.333 0.500
```

Most intense lines, 2θ from 10° to 90°, in order of rising 2θ:
20.35°, I = 21.4
32.74°, I = 97.5
35.64°, I = 34.1
41.39°, I = 71.7
44.25°, I = 100.0
62.19°, I = 30.9
64.72°, I = 15.0
68.62°, I = 18.8
70.02°, I = 24.3
75.48°, I = 19.5

---

Copy entry 5 word for word.
Diffraction record for K2Pa2O5. The powder X-ray diffraction pattern is computed, not measured: it uses a crystal structure in OQMD, relaxed with PBE and Cu Kα (weighted mean of Kα1 and Kα2).
Intensities are scaled so that the largest is 100.

```
K2Pa2O5
1.0
4.409 0.000 0.000
0.000 4.409 0.000
0.000 0.000 8.779
K Pa O
2 2 5
Direct
0.000 0.000 0.000
0.000 0.000 0.500
0.500 0.500 0.249
0.500 0.500 0.751
0.000 0.500 0.208
0.000 0.500 0.792
0.500 0.000 0.208
0.500 0.000 0.792
0.500 0.500 0.500
```

Most intense lines, 2θ from 10° to 90°, in order of rising 2θ:
20.17°, I = 70.1
28.68°, I = 100.0
35.31°, I = 13.4
40.94°, I = 19.0
46.05°, I = 23.7
46.20°, I = 11.1
50.76°, I = 29.2
50.88°, I = 14.6
67.15°, I = 12.2
81.80°, I = 15.1

---

Which formula does entry 6 have? KIn6Ga3Co2